# 1
# SrIn6Pd4
Simulated X-ray powder pattern, CuKα. Input: a structure optimized by DFT (GGA-PBE).

Principal peaks in the range 10° ≤ 2θ ≤ 80°, most intense first:
2θ = 38.98°, intensity 100, hkl 2 1 3; 2θ = 39.90°, intensity 78, hkl 1 1 4; 2θ = 39.14°, intensity 64, hkl 3 0 1; 2θ = 30.79°, intensity 62, hkl 2 0 2; 2θ = 29.52°, intensity 61, hkl 2 1 1; 2θ = 40.21°, intensity 61, hkl 3 1 0; 2θ = 35.82°, intensity 47, hkl 2 2 0; 2θ = 15.26°, intensity 43, hkl 1 0 1; 2θ = 60.42°, intensity 37, hkl 4 1 3; 2θ = 51.30°, intensity 33, hkl 2 2 4

Structure:
a = 7.0898 Å, b = 7.0898 Å, c = 10.1234 Å
α = 90.00°, β = 90.00°, γ = 90.00°
Space group I-42m (No. 121)
Unique sites:
Sr 0.0000 0.0000 0.0000 x2
In 0.0000 0.5000 0.0000 x4
In 0.1783 0.1783 0.2961 x8
Pd 0.1727 0.1727 0.5768 x8

---

# 2
# GaB6C2
Simulated X-ray powder pattern, CuKα. Input: a structure optimized by DFT (GGA-PBE).

Principal peaks in the range 10° ≤ 2θ ≤ 80°, most intense first:
2θ = 15.51°, intensity 100, hkl 0 0 2; 2θ = 30.79°, intensity 45, hkl 0 1 1; 2θ = 38.17°, intensity 40, hkl 0 1 3; 2θ = 35.57°, intensity 30, hkl 1 0 -2; 2θ = 39.99°, intensity 25, hkl 1 1 -3; 2θ = 32.96°, intensity 24, hkl 1 1 -1; 2θ = 39.83°, intensity 20, hkl 1 0 3; 2θ = 35.73°, intensity 20, hkl 1 1 -2; 2θ = 32.78°, intensity 17, hkl 1 0 -1; 2θ = 45.24°, intensity 16, hkl 1 0 4

Structure:
a = 3.1735 Å, b = 3.3869 Å, c = 11.4236 Å
α = 89.91°, β = 89.86°, γ = 62.46°
Space group P-1 (No. 2)
Unique sites:
Ga 0.0000 0.0000 0.0000 x1
B 0.0012 0.5002 0.8513 x2
B 0.4988 0.9998 0.1475 x2
B 0.4987 0.4998 0.1565 x2
C 0.2042 0.5001 0.5000 x2

---

# 3
# Tb2TeS
Simulated X-ray powder pattern, CuKα. Input: a structure optimized by DFT (GGA-PBE).

Principal peaks in the range 10° ≤ 2θ ≤ 80°, most intense first:
2θ = 31.00°, intensity 100, hkl 2 0 0; 2θ = 42.55°, intensity 50, hkl 2 2 0; 2θ = 36.09°, intensity 49, hkl 1 2 2; 2θ = 28.41°, intensity 39, hkl 0 2 0; 2θ = 44.42°, intensity 35, hkl 2 0 4; 2θ = 26.04°, intensity 28, hkl 1 1 2; 2θ = 53.57°, intensity 24, hkl 2 2 4; 2θ = 58.51°, intensity 22, hkl 3 2 2; 2θ = 63.46°, intensity 22, hkl 1 4 2; 2θ = 73.40°, intensity 14, hkl 4 0 4

Structure:
a = 5.7717 Å, b = 6.2831 Å, c = 11.5318 Å
α = 90.00°, β = 90.00°, γ = 90.00°
Space group Pmna (No. 53)
Unique sites:
Tb 0.0000 0.1894 0.1365 x4
Tb 0.0000 0.1966 0.6082 x4
Te 0.0000 0.3065 0.8721 x4
S 0.0000 0.2434 0.3721 x4

---

# 4
# Tb7Dy4Th
Simulated X-ray powder pattern, CuKα. Input: a structure optimized by DFT (GGA-PBE).

Principal peaks in the range 10° ≤ 2θ ≤ 80°, most intense first:
2θ = 31.99°, intensity 100, hkl -1 2 1; 2θ = 33.69°, intensity 87, hkl 1 -2 2; 2θ = 31.19°, intensity 49, hkl 0 0 3; 2θ = 60.96°, intensity 44, hkl 0 4 3; 2θ = 28.97°, intensity 39, hkl 2 0 1; 2θ = 50.95°, intensity 38, hkl 3 2 1; 2θ = 54.89°, intensity 22, hkl -1 2 4; 2θ = 58.20°, intensity 18, hkl 1 -2 5; 2θ = 61.44°, intensity 16, hkl 4 0 0; 2θ = 62.48°, intensity 15, hkl 4 0 3

Structure:
a = 6.2055 Å, b = 7.1725 Å, c = 8.8514 Å
α = 89.98°, β = 76.40°, γ = 90.00°
Space group P-1 (No. 2)
Unique sites:
Tb 0.0000 0.0000 0.0000 x1
Tb 0.2195 0.4999 0.3305 x2
Tb 0.2757 0.2512 0.6679 x2
Tb 0.4997 0.2540 0.0002 x2
Dy 0.2222 0.9999 0.3365 x2
Dy 0.2753 0.7491 0.6682 x2
Th 0.0000 0.5000 0.0000 x1